Starting from a crystal structure in Alexandria, relaxed with PBE+U, the powder XRD pattern of MgCr2O4 was computed for a wavelength of 1.5418 Å.

Principal peaks in the range 15° ≤ 2θ ≤ 90°, low angle first:
| index | d_spacing | 2θ/deg | intensity |
| --- | --- | --- | --- |
| 0 0 3 | 4.895 | 18.1 | 533 |
| 0 1 4 | 2.998 | 29.8 | 161 |
| 2 0 1 | 2.557 | 35.1 | 1000 |
| 0 2 2 | 2.448 | 36.7 | 91 |
| 2 0 4 | 2.120 | 42.6 | 490 |
| 2 0 7 | 1.632 | 56.4 | 380 |
| 2 2 0 | 1.499 | 61.9 | 559 |
| 2 2 3 | 1.433 | 65.1 | 66 |
| 0 4 1 | 1.293 | 73.2 | 99 |
| 2 0 10 | 1.278 | 74.2 | 54 |
| 0 4 4 | 1.224 | 78.1 | 70 |
| 0 4 7 | 1.104 | 88.6 | 155 |

Crystal structure
```
MgCr2O4
1.0
5.998 0.000 0.000
-2.999 5.194 0.000
0.000 0.000 14.678
Mg Cr O
6 12 24
direct
0.000 0.000 0.000 Mg
0.000 0.000 0.244 Mg
0.333 0.667 0.582 Mg
0.667 0.333 0.286 Mg
0.667 0.333 0.665 Mg
0.667 0.333 0.914 Mg
0.000 0.000 0.622 Cr
0.167 0.333 0.790 Cr
0.167 0.833 0.790 Cr
0.331 0.166 0.456 Cr
0.333 0.667 0.331 Cr
0.333 0.667 0.957 Cr
0.502 0.003 0.123 Cr
0.502 0.498 0.123 Cr
0.667 0.833 0.790 Cr
0.834 0.166 0.456 Cr
0.834 0.669 0.456 Cr
0.997 0.498 0.123 Cr
0.000 0.000 0.383 O
0.000 0.000 0.862 O
0.029 0.514 0.869 O
0.152 0.305 0.535 O
0.152 0.848 0.535 O
0.182 0.365 0.043 O
0.182 0.818 0.043 O
0.303 0.152 0.709 O
0.333 0.667 0.200 O
0.333 0.667 0.717 O
0.358 0.179 0.200 O
0.486 0.514 0.869 O
0.486 0.971 0.869 O
0.510 0.020 0.379 O
0.510 0.490 0.379 O
0.635 0.818 0.043 O
0.667 0.333 0.050 O
0.667 0.333 0.528 O
0.695 0.848 0.535 O
0.821 0.179 0.200 O
0.821 0.642 0.200 O
0.848 0.152 0.709 O
0.848 0.697 0.709 O
0.980 0.490 0.379 O
```